Starting from a DFT-relaxed cell (PBE+U, Alexandria), the X-ray powder pattern of Mn2PbF8 was calculated for CuKα.

Main lines, sorted by position (10 to 90 degrees two-theta):
- 2θ 13.32, 6.647 Å, I = 434
- 2θ 15.65, 5.662 Å, I = 367
- 2θ 23.48, 3.789 Å, I = 421
- 2θ 24.62, 3.616 Å, I = 1000
- 2θ 28.53, 3.129 Å, I = 289
- 2θ 32.26, 2.775 Å, I = 269
- 2θ 36.17, 2.484 Å, I = 364
- 2θ 40.74, 2.215 Å, I = 330

Atomic structure:
Cell lengths 7.372, 7.372, 3.861 Å; angles 94.78, 94.78, 128.74 degrees
Sites, in units of the cell vectors:
Mn: 0.153 0.847 0.000
Mn: 0.847 0.153 0.000
Pb: 0.480 0.480 0.800
F: 0.008 0.008 0.968
F: 0.148 0.443 0.103
F: 0.181 0.833 0.500
F: 0.443 0.148 0.103
F: 0.545 0.865 0.898
F: 0.674 0.674 0.352
F: 0.833 0.181 0.500
F: 0.865 0.545 0.898